[1]
Structure and simulated powder X-ray diffraction pattern of Tl3F (a structure optimized by DFT (GGA-PBE); Cu Kα (λ = 1.5418 Å)).

Peak list (10 most intense, 2θ = 10–90°, sorted by position)
2theta, Rel. int.
26.43, 34
28.59, 81
33.42, 34
34.18, 100
43.10, 22
47.11, 25
56.81, 13
58.99, 28
60.26, 38
73.14, 14

Structure:
```
4
Lattice="-1.7631 5.7606 2.6813 1.7631 -5.7606 2.6813 1.7631 5.7606 -2.6813" Properties=species:S:1:pos:R:3 pbc="T T T"
Tl 0.0000 0.0000 0.0000
Tl 1.7631 3.4998 0.0938
Tl 0.0000 2.2608 2.7751
F 1.7631 0.0000 1.9153
```

---

[2]
Structure and simulated powder X-ray diffraction pattern of Rb2Sc3UO8 (a structure optimized by DFT (GGA-PBE); Cu Kα (λ = 1.5418 Å)).

Peak list (10 most intense, 2θ = 10–90°, sorted by position)
2theta, Rel. int.
13.12, 63
15.75, 39
17.49, 74
26.38, 100
26.77, 35
30.85, 31
31.81, 29
35.41, 36
37.66, 39
54.26, 40

Structure:
```
14
Lattice="3.3822 1.9527 6.7456 -3.3822 1.9527 6.7456 0.0000 -3.9054 6.7456" Properties=species:S:1:pos:R:3 pbc="T T T"
Rb 0.0000 0.0000 0.0000
Rb 0.0000 0.0000 7.3086
Sc 0.0000 -2.1346 10.4981
Sc -1.8486 1.0673 10.4981
Sc 1.8486 1.0673 10.4981
U 0.0000 0.0000 16.6760
O 0.0000 -1.8914 4.7185
O -1.6380 0.9457 4.7185
O 0.0000 0.0000 2.6966
O -1.4508 -0.8376 9.7368
O 1.6380 0.9457 4.7185
O 1.4508 -0.8376 9.7367
O 0.0000 1.6752 9.7367
O 0.0000 0.0000 14.7627
```

---

[3]
Structure and simulated powder X-ray diffraction pattern of BPbO2 (a structure optimized by DFT (GGA-PBE); Cu Kα (λ = 1.5418 Å)).

Peak list (10 most intense, 2θ = 10–90°, sorted by position)
2theta, Rel. int.
18.48, 100
25.60, 24
26.87, 78
28.98, 15
32.67, 27
32.94, 25
37.46, 20
38.37, 26
42.91, 17
55.40, 13

Structure:
```
16
Lattice="7.6716 0.0000 0.0000 0.0000 6.6351 0.0000 -2.7950 0.0000 6.0204" Properties=species:S:1:pos:R:3 pbc="T T T"
B 0.4980 1.6171 2.0896
B -0.8995 1.7005 5.0999
B 5.7761 4.9347 0.9206
B 4.3786 5.0180 3.9308
Pb 1.1637 4.9158 2.3827
Pb -0.2338 5.0369 5.3929
Pb 5.1104 1.5983 0.6275
Pb 3.7128 1.7193 3.6377
O -0.3617 0.7922 1.6610
O -1.7593 2.5254 4.6712
O -0.0177 0.8903 5.5384
O 1.3798 2.4273 2.5282
O 3.4968 4.2079 3.4922
O 4.8943 5.7448 0.4820
O 6.6359 4.1098 1.3492
O 5.2383 5.8429 4.3594
```

---

[4]
Structure and simulated powder X-ray diffraction pattern of PaCuC (a structure optimized by DFT (GGA-PBE); Cu Kα (λ = 1.5418 Å)).

Peak list (10 most intense, 2θ = 10–90°, sorted by position)
2theta, Rel. int.
28.12, 82
35.14, 88
36.20, 100
44.71, 12
52.13, 61
60.29, 22
64.44, 31
65.11, 18
88.00, 12
88.05, 12

Structure:
```
6
Lattice="3.5080 0.0000 0.0000 0.0000 3.5080 0.0000 0.0000 0.0000 7.4502" Properties=species:S:1:pos:R:3 pbc="T T T"
Pa 0.8770 0.8770 1.3162
Pa 2.6310 2.6310 6.1340
Cu 0.8770 0.8770 4.2677
Cu 2.6310 2.6310 3.1825
C 0.8770 0.8770 6.4048
C 2.6310 2.6310 1.0453
```

---

[5]
Structure and simulated powder X-ray diffraction pattern of Cu2Si (a structure optimized by DFT (GGA-PBE); Cu Kα (λ = 1.5418 Å)).

Peak list (10 most intense, 2θ = 10–90°, sorted by position)
2theta, Rel. int.
14.90, 30
29.07, 30
38.70, 79
41.30, 63
44.87, 37
45.28, 100
45.79, 58
46.44, 70
46.90, 24
48.07, 43

Structure:
```
6
Lattice="5.0078 -1.2737 0.0000 5.0078 1.2737 0.0000 -2.6443 0.0000 5.9447" Properties=species:S:1:pos:R:3 pbc="T T T"
Cu -0.2457 0.0000 1.8558
Cu 1.0499 0.0000 5.7716
Cu 6.3213 0.0000 0.1731
Cu 7.6169 0.0000 4.0889
Si 2.4584 0.0000 1.9835
Si 4.9129 0.0000 3.9612
```

---

[6]
Structure and simulated powder X-ray diffraction pattern of Pm2Y3Si4 (a structure optimized by DFT (GGA-PBE); Cu Kα (λ = 1.5418 Å)).

Peak list (10 most intense, 2θ = 10–90°, sorted by position)
2theta, Rel. int.
26.05, 44
27.36, 43
30.23, 52
31.49, 67
32.77, 100
33.13, 97
33.39, 88
33.57, 47
36.84, 70
37.85, 85

Structure:
```
18
Lattice="7.7333 0.0000 0.0000 0.0000 7.7831 0.0000 -2.1454 0.0000 7.1785" Properties=species:S:1:pos:R:3 pbc="T T T"
Pm 1.3569 1.3956 0.6146
Pm 0.2842 2.4959 4.2039
Pm 5.3037 5.2872 2.9746
Pm 4.2310 6.3875 6.5638
Y 1.3411 5.2979 1.8184
Y 0.2684 6.3768 5.4076
Y 2.7939 0.0000 3.5892
Y 3.8666 3.8916 0.0000
Y 5.3195 1.4064 1.7709
Y 4.2467 2.4852 5.3601
Si -1.2694 4.1232 6.3048
Si -0.1967 7.5514 2.7156
Si 1.9269 0.9221 6.2967
Si 2.9996 2.9695 2.7075
Si 2.5882 4.8137 4.4710
Si 3.6610 6.8610 0.8817
Si 5.7846 0.2317 4.4629
Si 6.8573 3.6599 0.8737
```